Rb3Pu2MnS6: calculated powder diffractogram (copper Kα), based on a structure optimized by DFT (GGA-PBE).
Lines closer than 0.1° are merged.

Largest 8 diffraction maxima, in order of rising 2θ, 5 to 70 degrees two-theta:
index, 2theta, I/Imax
0 0 1, 11.59, 38
0 0 2, 23.31, 27
2 0 0, 26.70, 49
1 3 1, 29.98, 100
1 3 -3, 40.78, 24
0 6 0, 44.98, 34
1 3 3, 47.48, 17
3 3 1, 51.27, 21

Structure:
```
data_Rb3Pu2MnS6
_cell_length_a 6.981
_cell_length_b 12.090
_cell_length_c 7.979
_cell_angle_alpha 90.00
_cell_angle_beta 106.91
_cell_angle_gamma 90.00
_symmetry_space_group_name_H-M 'C 1 2/m 1'
_symmetry_Int_Tables_number 12
loop_
_symmetry_equiv_pos_as_xyz
'x,y,z'
'-x,-y,-z'
'-x,y,-z'
'x,-y,z'
'x+1/2,y+1/2,z'
'-x+1/2,-y+1/2,-z'
'-x+1/2,y+1/2,-z'
'x+1/2,-y+1/2,z'
loop_
_atom_site_label
_atom_site_type_symbol
_atom_site_fract_x
_atom_site_fract_y
_atom_site_fract_z
Rb1 Rb 0.000 0.000 0.000
Rb2 Rb 0.000 0.335 0.000
Pu1 Pu 0.000 0.167 0.500
Mn1 Mn 0.000 0.500 0.500
S1 S 0.228 0.335 0.687
S2 S 0.231 0.000 0.687
```


RbPuMnTe3: calculated powder diffractogram (copper Kα), based on a structure optimized by DFT (GGA-PBE).
Lines closer than 0.1° are merged.

Largest 8 diffraction maxima, in order of rising 2θ, 5 to 70 degrees two-theta:
index, 2theta, I/Imax
0 0 1, 8.81, 19
1 0 -1, 10.57, 77
2 1 -1, 26.67, 100
2 1 0, 27.29, 29
1 1 -3, 32.02, 17
0 2 0, 39.61, 20
2 1 -4, 39.97, 28
3 1 2, 43.60, 19

Structure:
```
data_RbPuMnTe3
_cell_length_a 9.948
_cell_length_b 4.551
_cell_length_c 10.630
_cell_angle_alpha 90.00
_cell_angle_beta 109.25
_cell_angle_gamma 90.00
_symmetry_space_group_name_H-M 'P 1 21/m 1'
_symmetry_Int_Tables_number 11
loop_
_symmetry_equiv_pos_as_xyz
'x,y,z'
'-x,-y,-z'
'-x,y+1/2,-z'
'x,-y+1/2,z'
loop_
_atom_site_label
_atom_site_type_symbol
_atom_site_fract_x
_atom_site_fract_y
_atom_site_fract_z
Rb1 Rb 0.212 0.250 0.242
Pu1 Pu 0.327 0.750 0.857
Mn1 Mn 0.085 0.250 0.603
Te1 Te 0.110 0.250 0.861
Te2 Te 0.206 0.750 0.537
Te3 Te 0.469 0.750 0.164
```


Pu2MnReSi2: calculated powder diffractogram (copper Kα), based on a structure optimized by DFT (GGA-PBE).
Lines closer than 0.1° are merged.

Largest 8 diffraction maxima, in order of rising 2θ, 5 to 70 degrees two-theta:
index, 2theta, I/Imax
1 2 1, 26.01, 73
1 4 1, 33.57, 100
2 2 0, 34.78, 53
0 2 2, 35.20, 51
0 6 0, 36.55, 32
0 4 2, 41.29, 23
2 0 2, 46.98, 49
2 6 2, 60.95, 29

Structure:
```
data_Pu2MnReSi2
_cell_length_a 5.507
_cell_length_b 14.752
_cell_length_c 5.434
_cell_angle_alpha 90.00
_cell_angle_beta 90.00
_cell_angle_gamma 90.00
_symmetry_space_group_name_H-M 'I b a m'
_symmetry_Int_Tables_number 72
_symmetry_space_group_name_Hall '-I 2 2c'
loop_
_atom_site_label
_atom_site_type_symbol
_atom_site_fract_x
_atom_site_fract_y
_atom_site_fract_z
Pu1 Pu 0.242 0.180 0.000
Mn1 Mn 0.000 0.500 0.250
Re1 Re 0.000 0.000 0.250
Si1 Si 0.238 0.394 0.000
```


Question: What is the formula in the second record?
Answer: RbPuMnTe3